Structure and simulated powder X-ray diffraction pattern of LiAcPb2 (a GGA-PBE-relaxed structure; Cu Kα, 1.54184 Å).
No peak broadening, texture or thermal motion is included.

Largest 8 diffraction maxima, sorted by position, 2θ from 5° to 70°:
h k l, 2θ/deg, d_spacing, intensity
2 1 1, 26.6, 3.354, 34.9
1 0 2, 28.3, 3.153, 100.0
2 2 0, 30.5, 2.927, 99.6
3 0 1, 33.0, 2.718, 39.5
2 2 1, 33.3, 2.688, 20.0
1 2 2, 36.7, 2.450, 26.5
0 3 1, 37.1, 2.421, 25.7
3 3 2, 54.3, 1.690, 42.8

Structure:
Unit cell a=8.9094 b=7.7807 c=6.7442 alpha=90.00 beta=90.00 gamma=90.00
Atoms (fractional coordinates):
Li 0.0923 0.2500 0.1282
Li 0.4077 0.7500 0.6282
Li 0.5923 0.2500 0.3718
Li 0.9077 0.7500 0.8718
Ac 0.0244 0.7500 0.3827
Ac 0.4756 0.2500 0.8827
Ac 0.5244 0.7500 0.1173
Ac 0.9756 0.2500 0.6173
Pb 0.1895 0.5518 0.8741
Pb 0.1895 0.9482 0.8741
Pb 0.3105 0.0518 0.3741
Pb 0.3105 0.4482 0.3741
Pb 0.6895 0.5518 0.6259
Pb 0.6895 0.9482 0.6259
Pb 0.8105 0.0518 0.1259
Pb 0.8105 0.4482 0.1259